This entry pairs a crystal structure of SnH4Br3N with its computed X-ray powder pattern. Radiation: Cu Kα (weighted mean of Kα1 and Kα2). Structure: a crystal structure in Alexandria, relaxed with GGA-PBE.
Peak positions follow from Bragg's law for the DFT cell and can differ from measured ones.

Main lines, low angle first (2θ = 15–90°):
d/Å  intensity
3.399  63
3.326  100
3.163  45
3.132  89
3.072  40
2.584  52
2.276  45
2.257  67
2.058  29
2.013  38

Atomic structure:
```
SnH4Br3N
1.0
10.225 0.000 0.000
0.000 4.551 0.000
0.000 0.000 16.102
Sn H Br N
4 16 12 4
direct
0.166 0.250 0.068
0.334 0.750 0.568
0.666 0.250 0.432
0.834 0.750 0.932
0.003 0.750 0.374
0.015 0.250 0.732
0.112 0.567 0.310
0.112 0.933 0.310
0.388 0.067 0.810
0.388 0.433 0.810
0.485 0.750 0.232
0.497 0.250 0.874
0.503 0.750 0.126
0.515 0.250 0.768
0.612 0.567 0.190
0.612 0.933 0.190
0.888 0.067 0.690
0.888 0.433 0.690
0.985 0.750 0.268
0.997 0.250 0.626
0.024 0.250 0.890
0.156 0.250 0.516
0.238 0.750 0.734
0.262 0.250 0.234
0.344 0.750 0.016
0.476 0.750 0.390
0.524 0.250 0.610
0.656 0.250 0.984
0.738 0.750 0.766
0.762 0.250 0.266
0.844 0.750 0.484
0.976 0.750 0.110
0.052 0.750 0.317
0.448 0.250 0.817
0.552 0.750 0.183
0.948 0.250 0.683
```

This entry pairs a crystal structure of DyTh3C3 with its computed X-ray powder pattern. Radiation: Cu Kα (weighted mean of Kα1 and Kα2). Structure: a crystal structure in Alexandria, relaxed with GGA-PBE.
Peak positions follow from Bragg's law for the DFT cell and can differ from measured ones.

Main lines, low angle first (2θ = 15–90°):
d/Å  intensity
3.694  2
3.016  100
2.612  60
2.132  1
1.847  44
1.575  47
1.508  15
1.306  7
1.198  19
1.168  20

Atomic structure:
```
DyTh3C3
1.0
5.224 0.000 0.000
0.000 5.224 0.000
0.000 0.000 5.224
Dy Th C
1 3 3
direct
0.000 0.000 0.000
0.000 0.500 0.500
0.500 0.000 0.500
0.500 0.500 0.000
0.000 0.000 0.500
0.000 0.500 0.000
0.500 0.000 0.000
```

This entry pairs a crystal structure of CdInBr2 with its computed X-ray powder pattern. Radiation: Cu Kα (weighted mean of Kα1 and Kα2). Structure: a crystal structure in Alexandria, relaxed with GGA-PBE.
Peak positions follow from Bragg's law for the DFT cell and can differ from measured ones.

Main lines, low angle first (2θ = 15–90°):
d/Å  intensity
4.216  31
3.361  27
3.169  13
2.683  100
2.533  37
2.350  18
2.097  16
2.089  29
1.684  12
1.414  17

Atomic structure:
```
CdInBr2
1.0
8.683 -1.918 0.000
8.683 1.918 0.000
-1.003 0.000 4.071
Cd In Br
1 1 2
direct
0.000 0.000 0.000
0.355 0.355 0.858
0.555 0.555 0.555
0.781 0.781 0.284
```

This entry pairs a crystal structure of La2ZrCuO6 with its computed X-ray powder pattern. Radiation: Cu Kα (weighted mean of Kα1 and Kα2). Structure: a crystal structure in Alexandria, relaxed with GGA-PBE.
Peak positions follow from Bragg's law for the DFT cell and can differ from measured ones.

Main lines, low angle first (2θ = 15–90°):
d/Å  intensity
3.531  21
2.989  44
2.928  100
2.866  43
2.791  95
2.181  21
1.974  49
1.694  16
1.648  18
1.626  19

Atomic structure:
```
La2ZrCuO6
1.0
7.895 0.000 0.000
0.000 7.900 0.000
-0.368 0.000 8.725
La Zr Cu O
8 4 4 24
direct
0.200 0.250 0.241
0.229 0.250 0.807
0.287 0.750 0.207
0.288 0.750 0.770
0.712 0.250 0.230
0.713 0.250 0.793
0.771 0.750 0.193
0.800 0.750 0.759
0.000 0.000 0.500
0.000 0.500 0.500
0.500 0.000 0.500
0.500 0.500 0.500
0.000 0.000 0.000
0.000 0.500 0.000
0.500 0.000 0.000
0.500 0.500 0.000
0.031 0.750 0.037
0.058 0.561 0.730
0.058 0.939 0.730
0.086 0.250 0.542
0.248 0.035 0.045
0.248 0.465 0.045
0.248 0.553 0.423
0.248 0.947 0.423
0.436 0.056 0.726
0.436 0.444 0.726
0.470 0.750 0.990
0.471 0.250 0.410
0.529 0.750 0.590
0.530 0.250 0.010
0.564 0.556 0.274
0.564 0.944 0.274
0.752 0.053 0.577
0.752 0.447 0.577
0.752 0.535 0.955
0.752 0.965 0.955
0.914 0.750 0.458
0.942 0.061 0.270
0.942 0.439 0.270
0.969 0.250 0.963
```

This entry pairs a crystal structure of TmGe3Ru5 with its computed X-ray powder pattern. Radiation: Cu Kα (weighted mean of Kα1 and Kα2). Structure: a crystal structure in Alexandria, relaxed with GGA-PBE.
Peak positions follow from Bragg's law for the DFT cell and can differ from measured ones.

Main lines, low angle first (2θ = 15–90°):
d/Å  intensity
2.504  100
2.362  65
2.270  49
2.238  75
2.211  22
1.938  34
1.932  26
1.849  33
1.510  22
1.252  23

Atomic structure:
```
TmGe3Ru5
1.0
1.510 -6.716 0.000
1.510 6.716 0.000
0.000 0.000 14.244
Tm Ge Ru
2 6 10
direct
0.146 0.854 0.750
0.854 0.146 0.250
0.147 0.853 0.250
0.367 0.633 0.058
0.367 0.633 0.442
0.633 0.367 0.558
0.633 0.367 0.942
0.853 0.147 0.750
0.000 0.000 0.000
0.000 0.000 0.500
0.189 0.811 0.081
0.189 0.811 0.419
0.470 0.530 0.655
0.470 0.530 0.845
0.530 0.470 0.155
0.530 0.470 0.345
0.811 0.189 0.581
0.811 0.189 0.919
```